Record 1
Structure and simulated XRD peak list of Nd2Mn2InRh5 (DFT lattice parameters and positions (PBE); a wavelength of 1.5418 Å).
Lines closer than 0.1° are merged.

Cell and atoms:
a b c (Å): 9.754 9.754 3.785
angles (deg): 90.00 90.00 90.00
Space group P4/mbm (No. 127)
Symmetry-distinct sites (fractional):
Nd 0.180 0.320 0.000 (multiplicity 4)
Mn 0.118 0.618 0.000 (multiplicity 4)
In 0.000 0.000 0.000 (multiplicity 2)
Rh 0.000 0.500 0.500 (multiplicity 2)
Rh 0.065 0.788 0.500 (multiplicity 8)

Main lines, in order of rising 2θ (10° ≤ 2θ ≤ 90°):
- hkl 2 1 1, 2θ 31.29, I 37
- hkl 2 2 1, 2θ 35.21, I 37
- hkl 3 1 1, 2θ 37.62, I 100
- hkl 4 1 0, 2θ 38.04, I 57
- hkl 3 3 0, 2θ 39.18, I 14
- hkl 3 2 1, 2θ 41.01, I 39
- hkl 4 2 0, 2θ 41.40, I 18
- hkl 0 0 2, 2θ 48.08, I 27
- hkl 4 1 2, 2θ 62.90, I 31
- hkl 4 2 2, 2θ 65.30, I 15

***

Record 2
Structure and simulated XRD peak list of NdTmMnIn (DFT lattice parameters and positions (PBE); a wavelength of 1.5418 Å).
Lines closer than 0.1° are merged.

Cell and atoms:
a b c (Å): 7.426 7.426 7.426
angles (deg): 90.00 90.00 90.00
Space group F-43m (No. 216)
Symmetry-distinct sites (fractional):
Nd 0.000 0.000 0.000 (multiplicity 4)
Tm 0.000 0.000 0.500 (multiplicity 4)
Mn 0.250 0.250 0.750 (multiplicity 4)
In 0.250 0.250 0.250 (multiplicity 4)

Main lines, in order of rising 2θ (10° ≤ 2θ ≤ 90°):
- hkl 1 1 1, 2θ 20.72, I 4
- hkl 2 0 0, 2θ 23.97, I 10
- hkl 2 2 0, 2θ 34.15, I 100
- hkl 3 1 1, 2θ 40.28, I 2
- hkl 2 2 2, 2θ 42.15, I 3
- hkl 4 0 0, 2θ 49.07, I 18
- hkl 4 2 0, 2θ 55.32, I 4
- hkl 4 2 2, 2θ 61.13, I 36
- hkl 4 4 0, 2θ 71.92, I 11
- hkl 6 2 0, 2θ 82.07, I 16

***

What did the first record say?
Structure and simulated XRD peak list of Nd2Mn2InRh5 (DFT lattice parameters and positions (PBE); a wavelength of 1.5418 Å).
Lines closer than 0.1° are merged.

Cell and atoms:
a b c (Å): 9.754 9.754 3.785
angles (deg): 90.00 90.00 90.00
Space group P4/mbm (No. 127)
Symmetry-distinct sites (fractional):
Nd 0.180 0.320 0.000 (multiplicity 4)
Mn 0.118 0.618 0.000 (multiplicity 4)
In 0.000 0.000 0.000 (multiplicity 2)
Rh 0.000 0.500 0.500 (multiplicity 2)
Rh 0.065 0.788 0.500 (multiplicity 8)

Main lines, in order of rising 2θ (10° ≤ 2θ ≤ 90°):
- hkl 2 1 1, 2θ 31.29, I 37
- hkl 2 2 1, 2θ 35.21, I 37
- hkl 3 1 1, 2θ 37.62, I 100
- hkl 4 1 0, 2θ 38.04, I 57
- hkl 3 3 0, 2θ 39.18, I 14
- hkl 3 2 1, 2θ 41.01, I 39
- hkl 4 2 0, 2θ 41.40, I 18
- hkl 0 0 2, 2θ 48.08, I 27
- hkl 4 1 2, 2θ 62.90, I 31
- hkl 4 2 2, 2θ 65.30, I 15